# 1
This entry pairs a crystal structure of K2TmTcO6 with its simulated PXRD pattern. Radiation: Cu Ka. Structure: the GGA-PBE geometry in Alexandria.
No peak broadening, texture or thermal motion is included.

Top 10 peaks for 2θ = 10–80°, sorted by position:
d = 5.397 Å, I 100.0
d = 3.912 Å, I 11.0
d = 3.116 Å, I 39.1
d = 2.513 Å, I 22.7
d = 2.437 Å, I 9.7
d = 2.099 Å, I 22.8
d = 2.040 Å, I 9.9
d = 1.956 Å, I 18.8
d = 1.657 Å, I 17.8
d = 1.520 Å, I 8.5

Structural model:
Cell: 6.2317 6.2317 5.6787 Å, 90.00 90.00 120.00°
Fractional positions:
K1 0.3333 0.6667 0.1066
K2 0.6667 0.3333 0.8934
Tm1 0.0000 0.0000 0.5000
Tc1 0.0000 0.0000 0.0000
O1 0.1396 0.2793 0.7926
O2 0.1396 0.8604 0.7926
O3 0.2793 0.1396 0.2074
O4 0.7207 0.8604 0.7926
O5 0.8604 0.1396 0.2074
O6 0.8604 0.7207 0.2074

# 2
This entry pairs a crystal structure of Ba2FeRe with its simulated PXRD pattern. Radiation: Cu Ka. Structure: the GGA-PBE geometry in Alexandria.
No peak broadening, texture or thermal motion is included.

Top 10 peaks for 2θ = 10–80°, sorted by position:
d = 3.491 Å, I 32.4
d = 3.155 Å, I 53.9
d = 3.111 Å, I 62.5
d = 3.007 Å, I 48.3
d = 2.963 Å, I 100.0
d = 2.654 Å, I 46.8
d = 2.466 Å, I 22.5
d = 2.330 Å, I 37.3
d = 2.031 Å, I 79.6
d = 1.700 Å, I 21.4

Structural model:
Cell: 7.0379 4.0611 9.5647 Å, 90.00 102.98 90.00°
Fractional positions:
Ba1 0.0000 0.0000 0.0000
Ba2 0.1605 0.0000 0.5246
Ba3 0.5000 0.5000 0.0000
Ba4 0.6605 0.5000 0.5246
Fe1 0.4095 0.0000 0.2485
Fe2 0.9095 0.5000 0.2485
Re1 0.2495 0.5000 0.2703
Re2 0.7495 0.0000 0.2703

# 3
This entry pairs a crystal structure of LiTbHo2In4 with its simulated PXRD pattern. Radiation: Cu Ka. Structure: the GGA-PBE geometry in Alexandria.
No peak broadening, texture or thermal motion is included.

Top 10 peaks for 2θ = 10–80°, sorted by position:
d = 4.433 Å, I 10.0
d = 3.403 Å, I 9.7
d = 2.635 Å, I 100.0
d = 2.597 Å, I 97.6
d = 1.850 Å, I 34.8
d = 1.529 Å, I 17.7
d = 1.507 Å, I 35.3
d = 1.499 Å, I 17.7
d = 1.318 Å, I 10.7
d = 1.299 Å, I 10.9

Structural model:
Cell: 9.1762 9.1762 9.1762 Å, 32.88 32.88 32.88°
Fractional positions:
Li1 0.0000 0.0000 0.0000
Tb1 0.5000 0.5000 0.5000
Ho1 0.2535 0.2535 0.2535
Ho2 0.7465 0.7465 0.7465
In1 0.1225 0.1225 0.1225
In2 0.3731 0.3731 0.3731
In3 0.6269 0.6269 0.6269
In4 0.8775 0.8775 0.8775

# 4
This entry pairs a crystal structure of NaPm2Sn9 with its simulated PXRD pattern. Radiation: Cu Ka. Structure: the GGA-PBE geometry in Alexandria.
No peak broadening, texture or thermal motion is included.

Top 10 peaks for 2θ = 10–80°, sorted by position:
d = 4.480 Å, I 3.1
d = 2.744 Å, I 100.0
d = 2.421 Å, I 17.6
d = 2.355 Å, I 32.9
d = 1.688 Å, I 23.9
d = 1.665 Å, I 11.6
d = 1.452 Å, I 14.6
d = 1.423 Å, I 27.9
d = 1.372 Å, I 12.3
d = 1.210 Å, I 2.3

Structural model:
Cell: 4.7093 4.7093 14.5238 Å, 90.00 90.00 90.00°
Fractional positions:
Na1 0.0000 0.0000 0.0000
Pm1 0.0000 0.0000 0.3377
Pm2 0.0000 0.0000 0.6623
Sn1 0.0000 0.5000 0.1640
Sn2 0.0000 0.5000 0.5000
Sn3 0.0000 0.5000 0.8360
Sn4 0.5000 0.0000 0.1640
Sn5 0.5000 0.0000 0.5000
Sn6 0.5000 0.0000 0.8360
Sn7 0.5000 0.5000 0.0000
Sn8 0.5000 0.5000 0.3295
Sn9 0.5000 0.5000 0.6705

# 5
This entry pairs a crystal structure of Y4GaBiC with its simulated PXRD pattern. Radiation: Cu Ka. Structure: the GGA-PBE geometry in Alexandria.
No peak broadening, texture or thermal motion is included.

Top 10 peaks for 2θ = 10–80°, sorted by position:
d = 3.391 Å, I 30.9
d = 3.115 Å, I 56.3
d = 2.625 Å, I 25.9
d = 2.570 Å, I 100.0
d = 2.398 Å, I 64.0
d = 1.771 Å, I 36.3
d = 1.696 Å, I 21.9
d = 1.428 Å, I 15.9
d = 1.424 Å, I 16.1
d = 1.415 Å, I 31.1

Structural model:
Cell: 8.5734 8.5734 6.7852 Å, 90.00 90.00 133.42°
Fractional positions:
Y1 0.0000 0.5000 0.0000
Y2 0.0000 0.5000 0.5000
Y3 0.0829 0.9171 0.7500
Y4 0.4056 0.5944 0.7500
Y5 0.5000 0.0000 0.0000
Y6 0.5000 0.0000 0.5000
Y7 0.5944 0.4056 0.2500
Y8 0.9171 0.0829 0.2500
Ga1 0.1164 0.8836 0.2500
Ga2 0.8836 0.1164 0.7500
Bi1 0.3945 0.6055 0.2500
Bi2 0.6055 0.3945 0.7500
C1 0.2489 0.7511 0.7500
C2 0.7511 0.2489 0.2500

# 6
This entry pairs a crystal structure of In3I2Cl2 with its simulated PXRD pattern. Radiation: Cu Ka. Structure: the GGA-PBE geometry in Alexandria.
No peak broadening, texture or thermal motion is included.

Top 10 peaks for 2θ = 10–80°, sorted by position:
d = 5.818 Å, I 20.0
d = 4.247 Å, I 53.8
d = 3.264 Å, I 73.5
d = 3.085 Å, I 100.0
d = 2.874 Å, I 24.9
d = 2.466 Å, I 48.5
d = 2.348 Å, I 35.0
d = 2.249 Å, I 23.4
d = 2.070 Å, I 17.1
d = 1.852 Å, I 28.5

Structural model:
Cell: 4.4989 6.9793 8.8430 Å, 77.84 89.92 71.22°
Fractional positions:
In1 0.0000 0.0000 0.0000
In2 0.2144 0.5728 0.7360
In3 0.7856 0.4272 0.2640
I1 0.1105 0.7772 0.3435
I2 0.8895 0.2228 0.6565
Cl1 0.3736 0.2523 0.0622
Cl2 0.6264 0.7477 0.9378

# 7
This entry pairs a crystal structure of BaInTe2O8 with its simulated PXRD pattern. Radiation: Cu Ka. Structure: the GGA-PBE geometry in Alexandria.
No peak broadening, texture or thermal motion is included.

Top 10 peaks for 2θ = 10–80°, sorted by position:
d = 3.666 Å, I 100.0
d = 2.725 Å, I 47.8
d = 2.477 Å, I 27.2
d = 2.187 Å, I 24.9
d = 1.833 Å, I 11.3
d = 1.706 Å, I 22.6
d = 1.580 Å, I 14.7
d = 1.574 Å, I 14.9
d = 1.521 Å, I 12.2
d = 1.277 Å, I 8.4

Structural model:
Cell: 8.3739 8.3739 8.3739 Å, 37.98 37.98 37.98°
Fractional positions:
Ba1 0.0000 0.0000 0.0000
In1 0.5000 0.5000 0.5000
Te1 0.2384 0.2384 0.2384
Te2 0.7616 0.7616 0.7616
O1 0.1215 0.7756 0.4372
O2 0.2244 0.5628 0.8785
O3 0.3177 0.3177 0.3177
O4 0.4372 0.1215 0.7756
O5 0.5628 0.8785 0.2244
O6 0.6823 0.6823 0.6823
O7 0.7756 0.4372 0.1215
O8 0.8785 0.2244 0.5628

# 8
This entry pairs a crystal structure of Zn3Cu13 with its simulated PXRD pattern. Radiation: Cu Ka. Structure: the GGA-PBE geometry in Alexandria.
No peak broadening, texture or thermal motion is included.

Top 8 peaks for 2θ = 10–80°, sorted by position:
d = 2.242 Å, I 8.3
d = 2.167 Å, I 44.0
d = 2.121 Å, I 36.8
d = 1.982 Å, I 100.0
d = 1.757 Å, I 22.1
d = 1.541 Å, I 4.7
d = 1.353 Å, I 8.6
d = 1.294 Å, I 19.6

Structural model:
Cell: 5.1769 5.1769 8.4853 Å, 90.00 90.00 120.00°
Fractional positions:
Zn1 0.0000 0.0000 0.0000
Zn2 0.6667 0.3333 0.2512
Zn3 0.6667 0.3333 0.7488
Cu1 0.0034 0.5017 0.0000
Cu2 0.1674 0.3348 0.2518
Cu3 0.1674 0.3348 0.7482
Cu4 0.1674 0.8326 0.2518
Cu5 0.1674 0.8326 0.7482
Cu6 0.3303 0.1652 0.5000
Cu7 0.3333 0.6667 0.5000
Cu8 0.4983 0.5017 0.0000
Cu9 0.4983 0.9966 0.0000
Cu10 0.6652 0.8326 0.2518
Cu11 0.6652 0.8326 0.7482
Cu12 0.8348 0.1652 0.5000
Cu13 0.8348 0.6697 0.5000

# 9
This entry pairs a crystal structure of Sc5SN with its simulated PXRD pattern. Radiation: Cu Ka. Structure: the GGA-PBE geometry in Alexandria.
No peak broadening, texture or thermal motion is included.

Top 10 peaks for 2θ = 10–80°, sorted by position:
d = 3.830 Å, I 43.5
d = 2.800 Å, I 100.0
d = 2.720 Å, I 68.3
d = 2.602 Å, I 86.5
d = 2.512 Å, I 55.0
d = 2.410 Å, I 53.4
d = 2.314 Å, I 64.2
d = 2.198 Å, I 27.8
d = 1.870 Å, I 44.0
d = 1.701 Å, I 27.7

Structural model:
Cell: 6.1034 6.1034 8.8185 Å, 107.30 107.30 73.24°
Fractional positions:
Sc1 0.0982 0.2444 0.9887
Sc2 0.2249 0.7751 0.7500
Sc3 0.2370 0.5941 0.3531
Sc4 0.2444 0.0982 0.4887
Sc5 0.4059 0.7630 0.1469
Sc6 0.5941 0.2370 0.8531
Sc7 0.7556 0.9018 0.5113
Sc8 0.7630 0.4059 0.6469
Sc9 0.7751 0.2249 0.2500
Sc10 0.9018 0.7556 0.0113
S1 0.0000 0.5000 0.5000
S2 0.5000 0.0000 0.0000
N1 0.0789 0.9211 0.2500
N2 0.9211 0.0789 0.7500

# 10
This entry pairs a crystal structure of Cs4Ho3GaO8 with its simulated PXRD pattern. Radiation: Cu Ka. Structure: the GGA-PBE geometry in Alexandria.
No peak broadening, texture or thermal motion is included.

Top 10 peaks for 2θ = 10–80°, sorted by position:
d = 3.416 Å, I 51.8
d = 2.889 Å, I 87.6
d = 2.596 Å, I 100.0
d = 1.951 Å, I 36.9
d = 1.738 Å, I 30.6
d = 1.694 Å, I 24.5
d = 1.549 Å, I 31.6
d = 1.489 Å, I 12.6
d = 1.444 Å, I 15.6
d = 1.218 Å, I 14.1

Structural model:
Cell: 6.9540 6.9540 7.9245 Å, 116.02 116.02 59.96°
Fractional positions:
Cs1 0.0000 0.0000 0.0000
Cs2 0.0000 0.5000 0.0000
Cs3 0.5000 0.0000 0.0000
Cs4 0.5000 0.5000 0.0000
Ho1 0.0000 0.0000 0.5000
Ho2 0.0000 0.5000 0.5000
Ho3 0.5000 0.0000 0.5000
Ga1 0.5000 0.5000 0.5000
O1 0.2206 0.2206 0.6621
O2 0.2365 0.7123 0.6611
O3 0.2865 0.2865 0.3380
O4 0.2877 0.7635 0.3389
O5 0.7123 0.2365 0.6611
O6 0.7135 0.7135 0.6620
O7 0.7635 0.2877 0.3389
O8 0.7794 0.7794 0.3379

# 11
This entry pairs a crystal structure of UPd2Au with its simulated PXRD pattern. Radiation: Cu Ka. Structure: the GGA-PBE geometry in Alexandria.
No peak broadening, texture or thermal motion is included.

Top 10 peaks for 2θ = 10–80°, sorted by position:
d = 3.370 Å, I 34.7
d = 2.707 Å, I 75.1
d = 2.490 Å, I 35.0
d = 2.444 Å, I 100.0
d = 2.406 Å, I 38.3
d = 2.277 Å, I 95.4
d = 2.208 Å, I 34.9
d = 2.130 Å, I 25.3
d = 2.114 Å, I 32.1
d = 1.616 Å, I 19.4

Structural model:
Cell: 7.9192 7.7190 5.2676 Å, 90.00 106.46 90.00°
Fractional positions:
U1 0.2500 0.2500 0.0000
U2 0.2500 0.7500 0.5000
U3 0.7500 0.2500 0.5000
U4 0.7500 0.7500 0.0000
Pd1 0.1316 0.1134 0.4937
Pd2 0.1316 0.8866 0.9937
Pd3 0.3684 0.3866 0.5063
Pd4 0.3684 0.6134 0.0063
Pd5 0.6316 0.3866 0.9937
Pd6 0.6316 0.6134 0.4937
Pd7 0.8684 0.1134 0.0063
Pd8 0.8684 0.8866 0.5063
Au1 0.0000 0.4442 0.2500
Au2 0.0000 0.5558 0.7500
Au3 0.5000 0.0558 0.7500
Au4 0.5000 0.9442 0.2500

# 12
This entry pairs a crystal structure of Li23GaRh6 with its simulated PXRD pattern. Radiation: Cu Ka. Structure: the GGA-PBE geometry in Alexandria.
No peak broadening, texture or thermal motion is included.

Top 10 peaks for 2θ = 10–80°, sorted by position:
d = 6.998 Å, I 33.9
d = 6.061 Å, I 87.3
d = 3.499 Å, I 100.0
d = 3.030 Å, I 81.4
d = 2.710 Å, I 40.4
d = 2.333 Å, I 21.4
d = 2.143 Å, I 90.5
d = 1.827 Å, I 39.8
d = 1.355 Å, I 21.2
d = 1.237 Å, I 24.0

Structural model:
Cell: 8.5711 8.5711 8.5711 Å, 60.00 60.00 60.00°
Fractional positions:
Li1 0.0000 0.0000 0.0000
Li2 0.0000 0.0000 0.5000
Li3 0.0000 0.5000 0.0000
Li4 0.0000 0.5000 0.5000
Li5 0.1184 0.6272 0.6272
Li6 0.1195 0.1195 0.1195
Li7 0.1195 0.1195 0.6416
Li8 0.1195 0.6416 0.1195
Li9 0.3584 0.8805 0.8805
Li10 0.3728 0.3728 0.3728
Li11 0.3728 0.3728 0.8816
Li12 0.3728 0.8816 0.3728
Li13 0.5000 0.0000 0.0000
Li14 0.5000 0.0000 0.5000
Li15 0.5000 0.5000 0.0000
Li16 0.6272 0.1184 0.6272
Li17 0.6272 0.6272 0.1184
Li18 0.6272 0.6272 0.6272
Li19 0.6416 0.1195 0.1195
Li20 0.8805 0.3584 0.8805
Li21 0.8805 0.8805 0.3584
Li22 0.8805 0.8805 0.8805
Li23 0.8816 0.3728 0.3728
Ga1 0.5000 0.5000 0.5000
Rh1 0.2669 0.2669 0.7331
Rh2 0.2669 0.7331 0.2669
Rh3 0.2669 0.7331 0.7331
Rh4 0.7331 0.2669 0.2669
Rh5 0.7331 0.2669 0.7331
Rh6 0.7331 0.7331 0.2669

# 13
This entry pairs a crystal structure of TaTePIrPtPb with its simulated PXRD pattern. Radiation: Cu Ka. Structure: the GGA-PBE geometry in Alexandria.
No peak broadening, texture or thermal motion is included.

Top 10 peaks for 2θ = 10–80°, sorted by position:
d = 2.761 Å, I 40.5
d = 2.700 Å, I 100.0
d = 2.294 Å, I 37.7
d = 2.286 Å, I 46.2
d = 2.248 Å, I 70.0
d = 2.196 Å, I 58.9
d = 2.191 Å, I 28.0
d = 2.032 Å, I 29.5
d = 2.027 Å, I 28.9
d = 1.883 Å, I 26.2

Structural model:
Cell: 3.3269 4.8715 9.3672 Å, 76.35 79.97 70.05°
Fractional positions:
Ta1 0.0000 0.0000 0.0000
Te1 0.8078 0.0884 0.3025
P1 0.6883 0.5483 0.0759
Ir1 0.3092 0.4685 0.9106
Pt1 0.6314 0.9586 0.7745
Pb1 0.9590 0.4536 0.6223